This entry pairs a crystal structure of Li3VFeP2O8F2 with its theoretical powder diffractogram. Radiation: a wavelength of 1.5418 Å. Structure: a crystal structure in Alexandria, relaxed with PBE+U.
Intensities are scaled so that the largest is 100.

Cell and atoms:
Cell: 5.228 5.410 7.428 Å, 106.96 107.44 97.21°
Space group P1 (No. 1)
Inequivalent atoms, fractional coordinates:
Li  0.000  0.000  0.000 (multiplicity 1)
Li  0.232  0.428  0.355 (multiplicity 1)
Li  0.490  0.817  0.704 (multiplicity 1)
V  0.739  0.403  0.846 (multiplicity 1)
Fe  0.732  0.400  0.346 (multiplicity 1)
P  0.075  0.042  0.605 (multiplicity 1)
P  0.402  0.763  0.087 (multiplicity 1)
O  0.013  0.189  0.455 (multiplicity 1)
O  0.068  0.745  0.506 (multiplicity 1)
O  0.102  0.648  0.926 (multiplicity 1)
O  0.375  0.158  0.765 (multiplicity 1)
O  0.408  0.059  0.185 (multiplicity 1)
O  0.461  0.618  0.238 (multiplicity 1)
O  0.608  0.736  0.969 (multiplicity 1)
O  0.871  0.069  0.726 (multiplicity 1)
F  0.585  0.491  0.590 (multiplicity 1)
F  0.888  0.320  0.105 (multiplicity 1)

Main lines, sorted by position (2θ from 10° to 90°):
| 2θ (°) | d (Å) | intensity | h k l |
| --- | --- | --- | --- |
| 17.63 | 5.032 | 22 | 0 1 0 |
| 18.29 | 4.850 | 21 | 1 0 0 |
| 18.43 | 4.813 | 15 | 1 0 -1 |
| 22.29 | 3.988 | 13 | 1 -1 0 |
| 25.66 | 3.472 | 13 | 0 1 1 |
| 25.88 | 3.443 | 17 | -1 1 1 |
| 26.27 | 3.393 | 25 | 1 -1 1 |
| 26.56 | 3.356 | 100 | 0 1 -2 |
| 28.38 | 3.145 | 58 | 1 1 0 |
| 36.18 | 2.483 | 17 | 1 -2 0 |
| 41.25 | 2.188 | 12 | 2 1 -2 |
| 45.13 | 2.009 | 11 | 2 1 0 |